Hf2Al3Pd: computed powder X-ray diffraction pattern (copper Kα), based on the PBE geometry in Alexandria.
Intensities are scaled so that the largest is 100.

Most intense lines, 10° ≤ 2θ ≤ 90°, by angle:
d_spacing	I_rel
4.172	35.8
4.039	31.8
2.665	100.0
2.382	78.7
2.246	87.0
1.478	35.0

Atomic structure:
```
data_Hf2Al3Pd
_symmetry_space_group_name_H-M 'P 63/m m c'
_symmetry_Int_Tables_number 194
_symmetry_space_group_name_Hall '-P 6c 2c'
_cell_length_a 5.3292
_cell_length_b 5.3292
_cell_length_c 8.3441
_cell_angle_alpha 90.00
_cell_angle_beta 90.00
_cell_angle_gamma 120.00
loop_
_atom_site_label
_atom_site_fract_x
_atom_site_fract_y
_atom_site_fract_z
Hf1 0.3333 0.6667 0.0686
Al1 0.1701 0.3402 0.7500
Pd1 0.0000 0.0000 0.0000
```